Structure and simulated powder XRD pattern of Th5Tl3Cd3 (DFT lattice parameters and positions (GGA-PBE); λ = 1.5418 Å (Cu Kα)).
Neutral-atom scattering factors, no anomalous dispersion.

Structural model:
Cell lengths 10.686, 10.686, 3.355 Å; angles 90.00, 90.00, 120.00 degrees
Fractional coordinates of all 11 atoms:
Th: 0.000 0.647 0.000
Th: 0.333 0.667 0.000
Th: 0.353 0.353 0.000
Th: 0.647 0.000 0.000
Th: 0.667 0.333 0.000
Tl: 0.000 0.383 0.500
Tl: 0.383 0.000 0.500
Tl: 0.617 0.617 0.500
Cd: 0.000 0.153 0.000
Cd: 0.153 0.000 0.000
Cd: 0.847 0.847 0.000

The 12 most intense peaks (2θ from 5° to 70°), by angle:
| Position (°2θ) | I_rel |
| --- | --- |
| 25.5 | 14 |
| 26.6 | 15 |
| 28.9 | 100 |
| 31.5 | 93 |
| 35.0 | 39 |
| 37.1 | 37 |
| 43.3 | 49 |
| 51.3 | 13 |
| 52.9 | 17 |
| 59.6 | 16 |
| 63.1 | 23 |
| 66.7 | 14 |

***

Structure and simulated powder XRD pattern of Th3Tl3Cd2 (DFT lattice parameters and positions (GGA-PBE); λ = 1.5418 Å (Cu Kα)).
Neutral-atom scattering factors, no anomalous dispersion.

Structural model:
Cell lengths 4.775, 4.820, 9.784 Å; angles 90.00, 90.00, 90.00 degrees
Fractional coordinates of all 8 atoms:
Th: 0.000 0.000 0.000
Th: 0.000 0.500 0.262
Th: 0.000 0.500 0.738
Tl: 0.000 0.000 0.500
Tl: 0.500 0.500 0.000
Tl: 0.500 0.500 0.500
Cd: 0.500 0.000 0.247
Cd: 0.500 0.000 0.753

The 12 most intense peaks (2θ from 5° to 70°), by angle:
| Position (°2θ) | I_rel |
| --- | --- |
| 18.6 | 2 |
| 32.1 | 100 |
| 36.7 | 17 |
| 37.3 | 17 |
| 37.7 | 16 |
| 53.4 | 12 |
| 53.6 | 12 |
| 54.1 | 12 |
| 63.3 | 14 |
| 64.0 | 14 |
| 64.5 | 14 |
| 67.2 | 12 |

***

Structure and simulated powder XRD pattern of Th12Tl3Cd (DFT lattice parameters and positions (GGA-PBE); λ = 1.5418 Å (Cu Kα)).
Neutral-atom scattering factors, no anomalous dispersion.

Structural model:
Cell lengths 4.956, 4.956, 19.863 Å; angles 90.00, 90.00, 90.00 degrees
Fractional coordinates of all 16 atoms:
Th: 0.000 0.000 0.000
Th: 0.000 0.000 0.249
Th: 0.000 0.000 0.500
Th: 0.000 0.000 0.751
Th: 0.000 0.500 0.124
Th: 0.000 0.500 0.375
Th: 0.000 0.500 0.625
Th: 0.000 0.500 0.876
Th: 0.500 0.000 0.124
Th: 0.500 0.000 0.375
Th: 0.500 0.000 0.625
Th: 0.500 0.000 0.876
Tl: 0.500 0.500 0.250
Tl: 0.500 0.500 0.500
Tl: 0.500 0.500 0.750
Cd: 0.500 0.500 0.000

The 8 most intense peaks (2θ from 5° to 70°), by angle:
| Position (°2θ) | I_rel |
| --- | --- |
| 17.9 | 1 |
| 25.4 | 1 |
| 31.2 | 100 |
| 36.2 | 51 |
| 52.2 | 37 |
| 62.0 | 15 |
| 62.1 | 29 |
| 65.2 | 13 |

***

Structure and simulated powder XRD pattern of TmTh2Cd6 (DFT lattice parameters and positions (GGA-PBE); λ = 1.5418 Å (Cu Kα)).
Neutral-atom scattering factors, no anomalous dispersion.

Structural model:
Cell lengths 8.798, 8.798, 3.381 Å; angles 90.00, 90.00, 120.00 degrees
Fractional coordinates of all 9 atoms:
Tm: 0.000 0.000 0.000
Th: 0.333 0.667 0.000
Th: 0.667 0.333 0.000
Cd: 0.000 0.328 0.500
Cd: 0.000 0.672 0.500
Cd: 0.328 0.000 0.500
Cd: 0.328 0.328 0.500
Cd: 0.672 0.000 0.500
Cd: 0.672 0.672 0.500

The 12 most intense peaks (2θ from 5° to 70°), by angle:
| Position (°2θ) | I_rel |
| --- | --- |
| 11.6 | 1 |
| 20.2 | 13 |
| 33.4 | 100 |
| 35.3 | 79 |
| 41.0 | 2 |
| 49.4 | 33 |
| 54.3 | 8 |
| 55.2 | 2 |
| 58.5 | 2 |
| 62.2 | 33 |
| 63.4 | 14 |
| 66.4 | 25 |

***

Structure and simulated powder XRD pattern of Y5ThCd6 (DFT lattice parameters and positions (GGA-PBE); λ = 1.5418 Å (Cu Kα)).
Neutral-atom scattering factors, no anomalous dispersion.

Structural model:
Cell lengths 9.204, 9.204, 9.204 Å; angles 146.58, 131.00, 60.61 degrees
Fractional coordinates of all 12 atoms:
Y: 0.000 0.000 0.000
Y: 0.169 0.669 0.500
Y: 0.338 0.338 0.000
Y: 0.662 0.662 0.000
Y: 0.831 0.331 0.500
Th: 0.500 0.000 0.500
Cd: 0.072 0.830 0.242
Cd: 0.235 0.500 0.735
Cd: 0.412 0.170 0.242
Cd: 0.588 0.830 0.758
Cd: 0.765 0.500 0.265
Cd: 0.928 0.170 0.758

The 12 most intense peaks (2θ from 5° to 70°), by angle:
| Position (°2θ) | I_rel |
| --- | --- |
| 11.1 | 2 |
| 12.9 | 3 |
| 17.7 | 2 |
| 20.4 | 3 |
| 23.3 | 3 |
| 30.5 | 3 |
| 33.5 | 100 |
| 33.9 | 49 |
| 47.7 | 9 |
| 48.6 | 17 |
| 59.7 | 18 |
| 60.4 | 35 |

***

Structure and simulated powder XRD pattern of Th3Zn2Cd4 (DFT lattice parameters and positions (GGA-PBE); λ = 1.5418 Å (Cu Kα)).
Neutral-atom scattering factors, no anomalous dispersion.

Structural model:
Cell lengths 7.396, 7.396, 4.642 Å; angles 90.00, 90.00, 120.00 degrees
Fractional coordinates of all 9 atoms:
Th: 0.000 0.437 0.000
Th: 0.437 0.000 0.000
Th: 0.563 0.563 0.000
Zn: 0.333 0.667 0.500
Zn: 0.667 0.333 0.500
Cd: 0.000 0.000 0.000
Cd: 0.000 0.752 0.500
Cd: 0.248 0.248 0.500
Cd: 0.752 0.000 0.500

The 12 most intense peaks (2θ from 5° to 70°), by angle:
| Position (°2θ) | I_rel |
| --- | --- |
| 27.9 | 26 |
| 30.9 | 62 |
| 34.0 | 100 |
| 37.1 | 34 |
| 38.8 | 27 |
| 48.4 | 12 |
| 51.4 | 13 |
| 54.8 | 22 |
| 55.4 | 23 |
| 66.3 | 12 |
| 66.8 | 14 |
| 67.2 | 14 |

***

Structure and simulated powder XRD pattern of ThZrZnCd (DFT lattice parameters and positions (GGA-PBE); λ = 1.5418 Å (Cu Kα)).
Neutral-atom scattering factors, no anomalous dispersion.

Structural model:
Cell lengths 3.276, 3.276, 8.540 Å; angles 90.00, 90.00, 90.00 degrees
Fractional coordinates of all 4 atoms:
Th: 0.000 0.000 0.000
Zr: 0.000 0.000 0.537
Zn: 0.500 0.500 0.744
Cd: 0.500 0.500 0.292

The 12 most intense peaks (2θ from 5° to 70°), by angle:
| Position (°2θ) | I_rel |
| --- | --- |
| 10.4 | 16 |
| 20.8 | 7 |
| 29.2 | 20 |
| 31.4 | 9 |
| 34.5 | 100 |
| 38.9 | 39 |
| 42.3 | 12 |
| 50.8 | 9 |
| 56.2 | 13 |
| 58.8 | 17 |
| 61.2 | 8 |
| 67.6 | 28 |

***

Structure and simulated powder XRD pattern of Ti2Cd5 (DFT lattice parameters and positions (GGA-PBE); λ = 1.5418 Å (Cu Kα)).
Neutral-atom scattering factors, no anomalous dispersion.

Structural model:
Cell lengths 13.217, 13.217, 13.217 Å; angles 165.55, 165.55, 20.50 degrees
Fractional coordinates of all 7 atoms:
Ti: 0.222 0.222 0.000
Ti: 0.778 0.778 0.000
Cd: 0.079 0.079 0.000
Cd: 0.345 0.345 0.000
Cd: 0.500 0.500 0.000
Cd: 0.655 0.655 0.000
Cd: 0.921 0.921 0.000

The 12 most intense peaks (2θ from 5° to 70°), by angle:
| Position (°2θ) | I_rel |
| --- | --- |
| 6.8 | 10 |
| 13.6 | 4 |
| 31.9 | 25 |
| 36.2 | 100 |
| 38.3 | 50 |
| 41.7 | 8 |
| 49.0 | 6 |
| 55.2 | 16 |
| 57.9 | 12 |
| 63.8 | 11 |
| 65.2 | 6 |
| 67.9 | 29 |

***

Structure and simulated powder XRD pattern of TiCd6 (DFT lattice parameters and positions (GGA-PBE); λ = 1.5418 Å (Cu Kα)).
Neutral-atom scattering factors, no anomalous dispersion.

Structural model:
Cell lengths 6.792, 6.792, 6.792 Å; angles 109.47, 109.47, 109.47 degrees
Fractional coordinates of all 7 atoms:
Ti: 0.000 0.000 0.000
Cd: 0.250 0.500 0.750
Cd: 0.250 0.750 0.500
Cd: 0.500 0.250 0.750
Cd: 0.500 0.750 0.250
Cd: 0.750 0.250 0.500
Cd: 0.750 0.500 0.250

The 12 most intense peaks (2θ from 5° to 70°), by angle:
| Position (°2θ) | I_rel |
| --- | --- |
| 16.0 | 79 |
| 22.7 | 42 |
| 27.9 | 100 |
| 32.3 | 15 |
| 36.2 | 21 |
| 39.8 | 67 |
| 43.2 | 59 |
| 46.3 | 42 |
| 52.2 | 16 |
| 60.2 | 14 |
| 65.2 | 16 |
| 67.6 | 26 |

***

Structure and simulated powder XRD pattern of Ti2TlCdW (DFT lattice parameters and positions (GGA-PBE); λ = 1.5418 Å (Cu Kα)).
Neutral-atom scattering factors, no anomalous dispersion.

Structural model:
Cell lengths 4.766, 4.766, 5.444 Å; angles 90.00, 90.00, 90.00 degrees
Fractional coordinates of all 5 atoms:
Ti: 0.000 0.500 0.000
Ti: 0.500 0.000 0.000
Tl: 0.000 0.000 0.500
Cd: 0.500 0.500 0.500
W: 0.500 0.500 0.000

The 12 most intense peaks (2θ from 5° to 70°), by angle:
| Position (°2θ) | I_rel |
| --- | --- |
| 18.6 | 14 |
| 24.8 | 100 |
| 26.4 | 98 |
| 31.2 | 43 |
| 32.9 | 62 |
| 37.8 | 85 |
| 42.7 | 56 |
| 45.7 | 41 |
| 50.9 | 71 |
| 54.5 | 29 |
| 61.5 | 19 |
| 65.1 | 33 |

***

Structure and simulated powder XRD pattern of ZrTi2Cd2 (DFT lattice parameters and positions (GGA-PBE); λ = 1.5418 Å (Cu Kα)).
Neutral-atom scattering factors, no anomalous dispersion.

Structural model:
Cell lengths 11.467, 11.467, 3.019 Å; angles 90.00, 90.00, 164.96 degrees
Fractional coordinates of all 5 atoms:
Zr: 0.000 0.000 0.000
Ti: 0.405 0.595 0.500
Ti: 0.595 0.405 0.500
Cd: 0.192 0.808 0.000
Cd: 0.808 0.192 0.000

The 12 most intense peaks (2θ from 5° to 70°), by angle:
| Position (°2θ) | I_rel |
| --- | --- |
| 7.8 | 15 |
| 23.5 | 17 |
| 29.6 | 26 |
| 33.6 | 25 |
| 35.9 | 100 |
| 38.1 | 48 |
| 39.6 | 33 |
| 42.7 | 46 |
| 47.1 | 27 |
| 61.4 | 12 |
| 62.7 | 28 |
| 69.5 | 12 |

***

Structure and simulated powder XRD pattern of TlCd3 (DFT lattice parameters and positions (GGA-PBE); λ = 1.5418 Å (Cu Kα)).
Neutral-atom scattering factors, no anomalous dispersion.

Structural model:
Cell lengths 6.051, 6.051, 10.347 Å; angles 106.85, 106.85, 60.75 degrees
Fractional coordinates of all 12 atoms:
Tl: 0.000 0.000 0.000
Tl: 0.142 0.142 0.425
Tl: 0.858 0.858 0.575
Cd: 0.080 0.588 0.253
Cd: 0.336 0.336 0.002
Cd: 0.411 0.411 0.744
Cd: 0.412 0.920 0.747
Cd: 0.500 0.500 0.500
Cd: 0.588 0.080 0.253
Cd: 0.589 0.589 0.256
Cd: 0.664 0.664 0.998
Cd: 0.920 0.412 0.747

The 12 most intense peaks (2θ from 5° to 70°), by angle:
| Position (°2θ) | I_rel |
| --- | --- |
| 27.2 | 26 |
| 29.5 | 37 |
| 29.7 | 24 |
| 34.1 | 34 |
| 34.5 | 25 |
| 34.6 | 49 |
| 34.9 | 100 |
| 36.9 | 25 |
| 37.4 | 21 |
| 55.5 | 25 |
| 56.1 | 32 |
| 61.3 | 24 |